No. 1
Diffraction record for KRbGe. The PXRD pattern is computed, not measured: it uses DFT lattice parameters and positions (PBE) and λ = 1.5418 Å (Cu Kα).
Peak positions follow from Bragg's law for the DFT cell and can differ from measured ones.

Unit cell a=23.0628 b=5.7535 c=4.1668 alpha=90.00 beta=90.04 gamma=90.00
Atoms (fractional coordinates):
K1 0.0000 0.0000 0.0000
K2 0.1312 0.0000 0.5005
K3 0.5000 0.5000 0.0000
K4 0.6312 0.5000 0.5005
Rb1 0.2387 0.5000 0.5093
Rb2 0.3926 0.0000 0.0092
Rb3 0.7387 0.0000 0.5093
Rb4 0.8926 0.5000 0.0092
Ge1 0.0334 0.5000 0.5020
Ge2 0.0978 0.5000 0.0024
Ge3 0.5334 0.0000 0.5020
Ge4 0.5978 0.0000 0.0024

Peak list (10 most intense, 2θ = 5–70°, by intensity)
| d_spacing | Rel. int. |
| --- | --- |
| 2.724 | 100 |
| 11.531 | 66 |
| 5.582 | 62 |
| 2.878 | 57 |
| 3.599 | 53 |
| 3.090 | 44 |
| 3.377 | 29 |
| 2.018 | 27 |
| 1.652 | 27 |
| 3.919 | 25 |

No. 2
Diffraction record for Cs4SbTe5. The PXRD pattern is computed, not measured: it uses DFT lattice parameters and positions (PBE) and λ = 1.5418 Å (Cu Kα).
Peak positions follow from Bragg's law for the DFT cell and can differ from measured ones.

Unit cell a=9.2359 b=9.2359 c=9.2359 alpha=100.14 beta=100.14 gamma=130.38
Atoms (fractional coordinates):
Cs1 0.0915 0.2984 0.3899
Cs2 0.2984 0.9085 0.2069
Cs3 0.7016 0.0915 0.7931
Cs4 0.9085 0.7016 0.6101
Sb1 0.5863 0.5863 0.0000
Te1 0.2745 0.5734 0.8499
Te2 0.4246 0.2745 0.7011
Te3 0.5734 0.7234 0.2989
Te4 0.7234 0.4246 0.1501
Te5 0.9411 0.9411 0.0000

Peak list (10 most intense, 2θ = 5–70°, by intensity)
| d_spacing | Rel. int. |
| --- | --- |
| 3.749 | 100 |
| 2.695 | 86 |
| 3.875 | 65 |
| 1.722 | 33 |
| 2.651 | 28 |
| 3.027 | 27 |
| 2.267 | 25 |
| 2.188 | 23 |
| 8.384 | 19 |
| 2.032 | 19 |

Please write out number 2 again, unchanged.
Diffraction record for Cs4SbTe5. The PXRD pattern is computed, not measured: it uses DFT lattice parameters and positions (PBE) and λ = 1.5418 Å (Cu Kα).
Peak positions follow from Bragg's law for the DFT cell and can differ from measured ones.

Unit cell a=9.2359 b=9.2359 c=9.2359 alpha=100.14 beta=100.14 gamma=130.38
Atoms (fractional coordinates):
Cs1 0.0915 0.2984 0.3899
Cs2 0.2984 0.9085 0.2069
Cs3 0.7016 0.0915 0.7931
Cs4 0.9085 0.7016 0.6101
Sb1 0.5863 0.5863 0.0000
Te1 0.2745 0.5734 0.8499
Te2 0.4246 0.2745 0.7011
Te3 0.5734 0.7234 0.2989
Te4 0.7234 0.4246 0.1501
Te5 0.9411 0.9411 0.0000

Peak list (10 most intense, 2θ = 5–70°, by intensity)
| d_spacing | Rel. int. |
| --- | --- |
| 3.749 | 100 |
| 2.695 | 86 |
| 3.875 | 65 |
| 1.722 | 33 |
| 2.651 | 28 |
| 3.027 | 27 |
| 2.267 | 25 |
| 2.188 | 23 |
| 8.384 | 19 |
| 2.032 | 19 |